For LiVMoO6, DFT lattice parameters and positions (GGA+U) gives the computed XRD peak list in this record (λ = 1.5418 Å (Cu Kα)).

Main lines, by intensity (15° ≤ 2θ ≤ 90°):
two_theta	I_rel	hkl
27.81	100	1 1 -1
20.19	56	2 0 0
28.83	41	2 0 1
27.99	38	2 0 -2
26.06	29	1 1 0
40.22	27	4 0 -2
31.57	23	1 1 1
49.10	22	0 2 0
41.79	22	1 1 2
41.11	19	2 0 2

Crystal structure
a = 9.4986 Å, b = 3.7112 Å, c = 6.7864 Å
α = 90.00°, β = 112.15°, γ = 90.00°
Space group Cm (No. 8)
One atom of each set of equivalent atoms:
Li (0.0000, 0.0000, 0.0000) (multiplicity 2)
V (0.2112, 0.0000, 0.6842) (multiplicity 2)
Mo (0.3374, 0.5000, 0.3846) (multiplicity 2)
O (0.0455, 0.0000, 0.7278) (multiplicity 2)
O (0.1828, 0.5000, 0.1448) (multiplicity 2)
O (0.2193, 0.5000, 0.6014) (multiplicity 2)
O (0.3312, 0.0000, 0.4698) (multiplicity 2)
O (0.3525, 0.0000, 0.9193) (multiplicity 2)
O (0.4949, 0.5000, 0.3065) (multiplicity 2)

For LiY5Mo2O12, DFT lattice parameters and positions (GGA+U) gives the computed XRD peak list in this record (λ = 1.5418 Å (Cu Kα)).

Main lines, by intensity (15° ≤ 2θ ≤ 90°):
two_theta	I_rel	hkl
26.76	100	3 1 0
28.30	91	1 1 -2
39.33	47	0 2 2
32.35	34	0 2 1
54.97	33	6 2 -2
45.32	28	6 0 0
32.84	28	2 0 2
29.75	27	4 0 0
49.21	27	2 0 -4
33.06	26	4 0 -2

Crystal structure
a = 12.5418 Å, b = 6.0109 Å, c = 7.4071 Å
α = 90.00°, β = 106.80°, γ = 90.00°
Space group Cm (No. 8)
One atom of each set of equivalent atoms:
Li (0.0000, 0.0000, 0.0000) (multiplicity 2)
Y (0.0396, 0.5000, 0.4928) (multiplicity 2)
Y (0.0399, 0.5000, 0.9637) (multiplicity 2)
Y (0.1495, 0.0000, 0.7694) (multiplicity 2)
Y (0.1636, 0.0000, 0.3217) (multiplicity 2)
Y (0.3397, 0.5000, 0.6258) (multiplicity 2)
Mo (0.3421, 0.2534, 0.1328) (multiplicity 4)
O (0.0119, 0.2524, 0.2078) (multiplicity 4)
O (0.1750, 0.2277, 0.0438) (multiplicity 4)
O (0.1886, 0.2523, 0.5583) (multiplicity 4)
O (0.3396, 0.5000, 0.3176) (multiplicity 2)
O (0.3443, 0.5000, 0.9317) (multiplicity 2)
O (0.3474, 0.0000, 0.3365) (multiplicity 2)
O (0.3465, 0.0000, 0.9437) (multiplicity 2)
O (0.4982, 0.2559, 0.7134) (multiplicity 4)

For LiY5Mo2O12, DFT lattice parameters and positions (GGA+U) gives the computed XRD peak list in this record (λ = 1.5418 Å (Cu Kα)).

Main lines, by intensity (15° ≤ 2θ ≤ 90°):
two_theta	I_rel	hkl
26.59	100	1 -2 0
28.63	99	1 -1 2
28.32	97	1 0 -2
26.46	94	1 1 0
32.89	85	0 1 2
39.91	60	2 -1 2
49.37	58	0 1 -4
44.43	56	0 3 0
32.54	54	0 2 -2
29.20	48	0 2 0

Crystal structure
a = 5.9319 Å, b = 7.0387 Å, c = 7.3845 Å
α = 105.46°, β = 90.69°, γ = 114.43°
Space group P1 (No. 1)
One atom of each set of equivalent atoms:
Li (0.0000, 0.0000, 0.0000) (multiplicity 1)
Y (0.1750, 0.3021, 0.8043) (multiplicity 1)
Y (0.4571, 0.8739, 0.9486) (multiplicity 1)
Y (0.4650, 0.8943, 0.4817) (multiplicity 1)
Y (0.8528, 0.6523, 0.1433) (multiplicity 1)
Y (0.8561, 0.6699, 0.6584) (multiplicity 1)
Mo (0.4149, 0.2829, 0.3079) (multiplicity 1)
Mo (0.9278, 0.2821, 0.3106) (multiplicity 1)
O (0.0628, 0.5824, 0.8767) (multiplicity 1)
O (0.0691, 0.6115, 0.3959) (multiplicity 1)
O (0.1675, 0.2727, 0.4976) (multiplicity 1)
O (0.1823, 0.2952, 0.1109) (multiplicity 1)
O (0.2536, 0.9372, 0.2108) (multiplicity 1)
O (0.2545, 0.9659, 0.7408) (multiplicity 1)
O (0.5667, 0.5833, 0.8775) (multiplicity 1)
O (0.6010, 0.6293, 0.3962) (multiplicity 1)
O (0.6613, 0.2689, 0.4997) (multiplicity 1)
O (0.6681, 0.2815, 0.1201) (multiplicity 1)
O (0.7636, 0.9526, 0.1964) (multiplicity 1)
O (0.7767, 0.9749, 0.7589) (multiplicity 1)

For LiY5Mo2O12, DFT lattice parameters and positions (GGA+U) gives the computed XRD peak list in this record (λ = 1.5418 Å (Cu Kα)).

Main lines, by intensity (15° ≤ 2θ ≤ 90°):
two_theta	I_rel	hkl
28.29	100	1 1 -2
27.21	94	3 1 0
32.99	72	2 0 2
39.75	38	2 2 -2
48.72	30	2 0 -4
55.52	27	6 2 -2
30.18	25	4 0 0
24.98	24	0 0 2
60.02	24	6 0 2
56.69	23	5 1 -4

Crystal structure
a = 12.4242 Å, b = 5.8767 Å, c = 7.4764 Å
α = 90.00°, β = 107.58°, γ = 90.00°
Space group C2/m (No. 12)
One atom of each set of equivalent atoms:
Li (0.0000, 0.0000, 0.0000) (multiplicity 2)
Y (0.0000, 0.5000, 0.0000) (multiplicity 2)
Y (0.1928, 0.0000, 0.3408) (multiplicity 4)
Y (0.2024, 0.0000, 0.8561) (multiplicity 4)
Mo (0.0000, 0.2792, 0.5000) (multiplicity 4)
O (0.0004, 0.0000, 0.3070) (multiplicity 4)
O (0.0157, 0.5000, 0.3025) (multiplicity 4)
O (0.1461, 0.2381, 0.0659) (multiplicity 8)
O (0.1689, 0.2360, 0.5917) (multiplicity 8)